Starting from a PBE+U-relaxed structure, the powder diffraction line list of TlCoO3 was simulated for a wavelength of 1.5418 Å.
Peak positions follow from Bragg's law for the DFT cell and can differ from measured ones.

Largest 12 diffraction maxima, by angle, 2θ = 10–80°:
2θ (°)	d [Å]	Rel. int.	hkl
22.4	3.962	24.4	0 0 2
23.3	3.824	18.7	1 1 0
23.6	3.767	17.7	1 -1 0
32.3	2.768	35.9	1 1 2
32.8	2.732	100.0	-1 1 2
33.1	2.705	26.7	0 2 0
33.7	2.663	30.3	2 0 0
41.0	2.202	8.2	2 0 -2
45.8	1.981	18.4	0 0 4
47.6	1.912	13.4	2 2 0
48.3	1.883	15.3	2 -2 0
59.0	1.564	11.1	3 1 2

abc: 5.3271 5.4099 7.9248
angles: 89.49 89.53 89.14
Space group P-1 (No. 2)
Inequivalent atoms, fractional coordinates:
Tl1 0.0144 0.0463 0.2477 x2
Tl2 0.4818 0.5464 0.2475 x2
Co1 0.0000 0.5000 0.0000 x1
Co2 0.0000 0.5000 0.5000 x1
Co3 0.5000 0.0000 0.0000 x1
Co4 0.5000 0.0000 0.5000 x1
O1 0.1073 0.5411 0.7532 x2
O2 0.1960 0.7866 0.4418 x2
O3 0.2034 0.7928 0.0603 x2
O4 0.2937 0.2950 0.4427 x2
O5 0.2948 0.2940 0.0591 x2
O6 0.3934 0.0419 0.7438 x2


Starting from a PBE+U-relaxed structure, the powder diffraction line list of NaVO2 was simulated for a wavelength of 1.5418 Å.
Peak positions follow from Bragg's law for the DFT cell and can differ from measured ones.

Largest 12 diffraction maxima, by angle, 2θ = 10–80°:
2θ (°)	d [Å]	Rel. int.	hkl
15.7	5.643	100.0	0 0 1
31.7	2.822	26.6	0 0 2
33.9	2.642	33.3	2 0 0
34.3	2.616	63.2	1 1 0
37.3	2.409	17.0	2 0 -1
38.0	2.366	31.1	1 1 1
46.7	1.946	39.4	2 0 -2
47.2	1.927	36.6	1 1 -2
47.6	1.910	91.5	1 1 2
60.9	1.520	38.2	3 1 0
61.6	1.506	15.6	0 2 0
76.4	1.246	12.4	1 1 -4

abc: 5.2851 3.0112 5.6439
angles: 90.00 91.01 90.00
Space group C2/m (No. 12)
Inequivalent atoms, fractional coordinates:
Na1 0.0000 0.0000 0.0000 x2
V1 0.0000 0.0000 0.5000 x2
O1 0.1653 0.5000 0.6990 x4


Starting from a PBE+U-relaxed structure, the powder diffraction line list of Li2Cr2Si5O13 was simulated for a wavelength of 1.5418 Å.
Peak positions follow from Bragg's law for the DFT cell and can differ from measured ones.

Largest 12 diffraction maxima, by angle, 2θ = 10–80°:
2θ (°)	d [Å]	Rel. int.	hkl
23.4	3.796	80.2	2 1 1
24.0	3.711	78.0	0 2 0
27.0	3.298	27.9	1 0 -2
27.8	3.214	100.0	2 2 1
29.2	3.060	39.5	0 0 3
29.7	3.007	30.1	2 2 2
30.8	2.900	33.9	0 2 -2
31.4	2.846	68.1	2 -1 1
31.5	2.840	68.5	0 1 -3
31.7	2.820	39.8	0 1 3
41.3	2.187	29.7	0 1 4
47.9	1.899	31.1	4 1 2

abc: 7.6597 7.9521 9.8588
angles: 83.00 68.67 68.97
Space group P-1 (No. 2)
Inequivalent atoms, fractional coordinates:
Li1 0.1517 0.3997 0.2412 x2
Li2 0.2191 0.0658 0.3522 x2
Cr1 0.0376 0.1490 0.1010 x2
Cr2 0.4331 0.8362 0.9039 x2
Si1 0.1677 0.2256 0.7629 x2
Si2 0.2034 0.6967 0.5480 x2
Si3 0.2409 0.7544 0.2371 x2
Si4 0.3160 0.4553 0.9053 x2
Si5 0.3830 0.2940 0.4537 x2
O1 0.0074 0.7716 0.6891 x2
O2 0.0596 0.6830 0.2474 x2
O3 0.1841 0.0586 0.8756 x2
O4 0.1858 0.8300 0.4041 x2
O5 0.2074 0.3933 0.8113 x2
O6 0.2128 0.6706 0.9291 x2
O7 0.2207 0.4994 0.4994 x2
O8 0.2668 0.9197 0.1267 x2
O9 0.3158 0.3274 0.0472 x2
O10 0.3202 0.1646 0.5951 x2
O11 0.3727 0.2185 0.3132 x2
O12 0.3990 0.6972 0.5740 x2
O13 0.4459 0.5827 0.1993 x2